Diffraction record for Mg2BiPb3. The powder diffraction line list is simulated, not measured: it uses a structure optimized by DFT (PBE) and CuKα.
Lines closer than 0.1° are merged.

a = 6.770 Å, b = 6.948 Å, c = 29.908 Å
α = 90.00°, β = 90.00°, γ = 90.00°
Space group Fmmm (No. 69)
Unique sites:
Mg 0.250 0.000 0.000 (multiplicity 8)
Mg 0.250 0.250 0.250 (multiplicity 8)
Bi 0.000 0.000 0.183 (multiplicity 8)
Pb 0.000 0.000 0.331 (multiplicity 8)
Pb 0.000 0.250 0.072 (multiplicity 16)

Main lines, in order of falling intensity (15 to 90 degrees two-theta):
- (2 0 0), d 3.385, 26.33 deg, I = 100
- (0 2 6), d 2.850, 31.39 deg, I = 84
- (2 2 6), d 2.180, 41.42 deg, I = 61
- (0 0 8), d 3.739, 23.80 deg, I = 52
- (2 0 8), d 2.509, 35.78 deg, I = 51
- (2 2 2), d 2.393, 37.58 deg, I = 49
- (2 2 14), d 1.603, 57.50 deg, I = 30
- (4 2 6), d 1.455, 63.98 deg, I = 23
- (2 4 8), d 1.428, 65.34 deg, I = 18
- (0 2 14), d 1.820, 50.13 deg, I = 17
- (0 0 12), d 2.492, 36.04 deg, I = 17
- (2 4 0), d 1.545, 59.85 deg, I = 13